The following is a computed powder diffractogram of KSrPrSbO6. It was derived from a crystal structure in the Materials Project, relaxed with GGA-PBE, using Cu Kα (λ = 1.5418 Å).
Kinematic intensities with the Lorentz-polarization factor, no thermal factor.

Atomic structure:
```
KSrPrSbO6
1.0
0.0000 4.3311 4.3311
4.3311 0.0000 4.3311
4.3311 4.3311 0.0000
K Sr Pr Sb O
1 1 1 1 6
Direct
0.0000 0.0000 0.0000
0.5000 0.5000 0.5000
0.7500 0.7500 0.7500
0.2500 0.2500 0.2500
0.0193 0.0193 0.4807
0.0193 0.4807 0.0193
0.0193 0.4807 0.4807
0.4807 0.0193 0.0193
0.4807 0.0193 0.4807
0.4807 0.4807 0.0193
```

The 12 most intense peaks (2θ = 15–90°), in order of rising 2θ:
d/Å  I_rel
5.001  4
4.331  27
3.063  100
2.612  3
2.166  34
1.937  11
1.768  40
1.531  20
1.444  5
1.370  18
1.250  7
1.158  21

***

The following is a computed powder diffractogram of Hf4UC5. It was derived from a crystal structure in the Materials Project, relaxed with GGA-PBE, using Cu Kα (λ = 1.5418 Å).
Kinematic intensities with the Lorentz-polarization factor, no thermal factor.

Atomic structure:
```
Hf4UC5
1.0
1.6559 0.9561 13.6702
-1.6559 0.9561 13.6702
0.0000 -1.9121 13.6702
Hf U C
4 1 5
Direct
0.0962 0.0962 0.0962
0.3013 0.3013 0.3013
0.6987 0.6987 0.6987
0.9038 0.9038 0.9038
0.5000 0.5000 0.5000
0.0000 0.0000 0.0000
0.2027 0.2027 0.2027
0.3985 0.3985 0.3985
0.6015 0.6015 0.6015
0.7973 0.7973 0.7973
```

The 12 most intense peaks (2θ = 15–90°), in order of rising 2θ:
d/Å  I_rel
3.418  2
2.734  33
2.707  100
2.350  83
1.668  27
1.656  29
1.424  13
1.416  28
1.413  14
1.367  4
1.354  15
1.175  9